[1]
This entry pairs a crystal structure of PuScGe2 with its theoretical powder XRD pattern. Radiation: Cu Kα (weighted mean of Kα1 and Kα2). Structure: a crystal structure in Alexandria, relaxed with PBE.
Neutral-atom scattering factors, no anomalous dispersion.

```
PuScGe2
1.0
3.858 0.000 0.000
0.000 2.136 5.258
0.000 -2.136 5.258
Pu Sc Ge
1 1 2
Direct
0.000 0.000 0.000 Pu
0.500 0.272 0.272 Sc
0.000 0.726 0.726 Ge
0.500 0.555 0.555 Ge
```

The 10 most intense peaks (10° ≤ 2θ ≤ 80°), low angle first:
d/Å	I (rel.)
5.258	40
3.957	29
3.858	20
2.762	100
2.710	30
2.629	28
2.217	62
2.173	21
2.136	23
1.929	17



[2]
This entry pairs a crystal structure of BaZnSn4 with its theoretical powder XRD pattern. Radiation: Cu Kα (weighted mean of Kα1 and Kα2). Structure: a crystal structure in Alexandria, relaxed with PBE.
Neutral-atom scattering factors, no anomalous dispersion.

```
BaZnSn4
1.0
2.287 -11.510 0.000
2.287 11.510 0.000
0.000 0.000 6.944
Ba Zn Sn
2 2 8
Direct
0.109 0.891 0.750 Ba
0.891 0.109 0.250 Ba
0.371 0.629 0.750 Zn
0.629 0.371 0.250 Zn
0.060 0.940 0.250 Sn
0.287 0.713 0.028 Sn
0.287 0.713 0.472 Sn
0.500 0.500 0.000 Sn
0.500 0.500 0.500 Sn
0.713 0.287 0.528 Sn
0.713 0.287 0.972 Sn
0.940 0.060 0.750 Sn
```

The 10 most intense peaks (10° ≤ 2θ ≤ 80°), low angle first:
d/Å	I (rel.)
3.245	100
2.973	73
2.940	36
2.746	69
2.492	25
2.287	43
2.232	22
2.117	20
1.813	35
1.470	22